Entry 1:
Calculated powder XRD pattern
Compound: Zn3Si4Ni2O14
Radiation: CuKα
Structure: a DFT-relaxed cell (PBE+U, the Materials Project)
Intensities are scaled so that the largest is 100.

Top 10 peaks for 10 to 90 degrees two-theta, by intensity:
3.011 Å, intensity 100
3.122 Å, intensity 99
2.827 Å, intensity 94
2.294 Å, intensity 58
6.973 Å, intensity 53
2.971 Å, intensity 43
2.767 Å, intensity 38
1.985 Å, intensity 35
2.324 Å, intensity 33
2.141 Å, intensity 32

Structural model:
a = 16.6462 Å, b = 7.5520 Å, c = 9.6928 Å
α = 90.00°, β = 123.09°, γ = 90.00°
Space group C2/c (No. 15)
Unique sites:
Zn 0.0000 0.1185 0.2500 x4
Zn 0.1678 0.4043 0.3947 x8
Si 0.1200 0.1476 0.0997 x8
Si 0.1823 0.2188 0.7063 x8
Ni 0.0000 0.2850 0.7500 x4
Ni 0.0000 0.5000 0.0000 x4
O 0.0491 0.0901 0.9082 x8
O 0.0666 0.2748 0.1676 x8
O 0.0746 0.4501 0.9171 x8
O 0.1028 0.3621 0.6854 x8
O 0.1533 0.0193 0.7292 x8
O 0.2009 0.2067 0.5585 x8
O 0.2174 0.2297 0.1218 x8

***

Entry 2:
Calculated powder XRD pattern
Compound: Sm2Ni2O5
Radiation: CuKα
Structure: a DFT-relaxed cell (PBE+U, the Materials Project)
Intensities are scaled so that the largest is 100.

Top 10 peaks for 10 to 90 degrees two-theta, by intensity:
2.733 Å, intensity 100
2.681 Å, intensity 33
2.837 Å, intensity 33
1.948 Å, intensity 28
1.558 Å, intensity 27
3.897 Å, intensity 22
1.617 Å, intensity 20
2.137 Å, intensity 15
7.669 Å, intensity 12
1.366 Å, intensity 11

Structural model:
a = 15.3371 Å, b = 5.6731 Å, c = 5.3615 Å
α = 90.00°, β = 90.00°, γ = 90.00°
Space group Ima2 (No. 46)
Unique sites:
Sm 0.1088 0.0186 0.0000 x8
Ni 0.0000 0.0000 0.5142 x4
Ni 0.2500 0.5565 0.9670 x4
O 0.0222 0.7414 0.7558 x8
O 0.1378 0.0830 0.5483 x8
O 0.2500 0.6039 0.5864 x4

***

Entry 3:
Calculated powder XRD pattern
Compound: SrSm3Ni2O8
Radiation: CuKα
Structure: a DFT-relaxed cell (PBE+U, the Materials Project)
Intensities are scaled so that the largest is 100.

Top 10 peaks for 10 to 90 degrees two-theta, by intensity:
2.794 Å, intensity 100
2.690 Å, intensity 37
1.894 Å, intensity 36
2.667 Å, intensity 35
3.623 Å, intensity 25
2.077 Å, intensity 21
1.563 Å, intensity 18
1.572 Å, intensity 18
1.397 Å, intensity 15
2.033 Å, intensity 15

Structural model:
a = 5.3804 Å, b = 5.3348 Å, c = 12.4162 Å
α = 90.00°, β = 90.00°, γ = 90.00°
Space group Amm2 (No. 38)
Unique sites:
Sr 0.0000 0.0000 0.0000 x2
Sm 0.0000 0.0000 0.2808 x2
Sm 0.5000 0.0000 0.5076 x2
Sm 0.5000 0.0000 0.7831 x2
Ni 0.0000 0.0000 0.6406 x2
Ni 0.5000 0.0000 0.1409 x2
O 0.0000 0.0000 0.4666 x2
O 0.0000 0.0000 0.8081 x2
O 0.2607 0.2501 0.1500 x8
O 0.5000 0.0000 0.3257 x2
O 0.5000 0.0000 0.9675 x2

***

Entry 4:
Calculated powder XRD pattern
Compound: SrSmNi4O12
Radiation: CuKα
Structure: a DFT-relaxed cell (PBE+U, the Materials Project)
Intensities are scaled so that the largest is 100.

Top 10 peaks for 10 to 90 degrees two-theta, by intensity:
2.696 Å, intensity 100
4.402 Å, intensity 71
1.906 Å, intensity 43
1.556 Å, intensity 39
2.299 Å, intensity 38
1.348 Å, intensity 24
1.749 Å, intensity 17
1.467 Å, intensity 13
1.289 Å, intensity 12
1.205 Å, intensity 11

Structural model:
a = 5.3890 Å, b = 5.3890 Å, c = 7.6324 Å
α = 90.00°, β = 90.00°, γ = 90.00°
Space group P4/mmm (No. 123)
Unique sites:
Sr 0.0000 0.0000 0.0000 x1
Sm 0.5000 0.5000 0.5000 x1
Ni 0.0000 0.5000 0.2493 x4
O 0.0000 0.5000 0.0000 x2
O 0.0000 0.5000 0.5000 x2
O 0.2621 0.2621 0.2637 x8